No. 1
Simulated powder X-ray diffraction pattern
Compound: Mn5FeP3
Radiation: Cu Kα, 1.54184 Å
Structure: a DFT-relaxed cell (PBE, Alexandria)
No peak broadening, texture or thermal motion is included.

Most intense lines, 10° ≤ 2θ ≤ 90°, by angle:
16.9 deg, intensity 93.1; 18.1 deg, intensity 32.9; 36.9 deg, intensity 85.4; 42.4 deg, intensity 46.0; 44.4 deg, intensity 38.4; 44.6 deg, intensity 100.0; 47.4 deg, intensity 73.9; 47.7 deg, intensity 68.8

Atomic structure:
```
Mn5FeP3
1.0
1.9082 -6.2298 0.0000
1.9082 6.2298 0.0000
0.0000 0.0000 9.8020
Mn Fe P
10 2 6
Cartesian
0.0000 0.0000 0.0000
0.0000 0.0000 4.9010
1.9082 3.8392 5.4860
1.9082 3.8392 9.2170
1.9082 0.5585 1.2821
1.9082 0.5585 3.6189
1.9082 -0.5585 6.1831
1.9082 -0.5585 8.5199
1.9082 -3.8392 0.5850
1.9082 -3.8392 4.3160
1.9082 2.8482 2.4505
1.9082 -2.8482 7.3515
1.9082 5.2035 7.3515
1.9082 1.6289 5.6040
1.9082 1.6289 9.0989
1.9082 -1.6289 0.7030
1.9082 -1.6289 4.1979
1.9082 -5.2035 2.4505
```

No. 2
Simulated powder X-ray diffraction pattern
Compound: Ga2HgS2
Radiation: Cu Kα, 1.54184 Å
Structure: a DFT-relaxed cell (PBE, Alexandria)
No peak broadening, texture or thermal motion is included.

Most intense lines, 10° ≤ 2θ ≤ 90°, by angle:
21.2 deg, intensity 34.8; 26.8 deg, intensity 69.7; 33.2 deg, intensity 58.2; 34.9 deg, intensity 100.0; 38.3 deg, intensity 60.4; 52.8 deg, intensity 61.7; 55.2 deg, intensity 20.4; 79.9 deg, intensity 18.5

Atomic structure:
```
Ga2HgS2
1.0
4.7034 0.0000 0.0000
0.0000 4.7034 0.0000
0.0000 0.0000 9.1961
Ga Hg S
4 2 4
Cartesian
0.0000 0.0000 1.3008
0.0000 0.0000 7.8953
2.3517 2.3517 3.2972
2.3517 2.3517 5.8989
0.0000 0.0000 4.5980
2.3517 2.3517 0.0000
0.0000 2.3517 2.2990
0.0000 2.3517 6.8971
2.3517 0.0000 2.2990
2.3517 0.0000 6.8971
```

No. 3
Simulated powder X-ray diffraction pattern
Compound: V8Ge2H3
Radiation: Cu Kα, 1.54184 Å
Structure: a DFT-relaxed cell (PBE, Alexandria)
No peak broadening, texture or thermal motion is included.

Most intense lines, 10° ≤ 2θ ≤ 90°, by angle:
13.8 deg, intensity 27.0; 38.5 deg, intensity 40.5; 40.9 deg, intensity 26.4; 42.1 deg, intensity 32.6; 43.4 deg, intensity 100.0; 46.8 deg, intensity 35.3; 47.9 deg, intensity 27.0; 73.2 deg, intensity 24.5

Atomic structure:
```
V8Ge2H3
1.0
6.4354 -2.5075 0.0000
6.4354 2.5075 0.0000
-0.1443 0.0000 4.7504
V Ge H
8 2 3
Cartesian
1.0329 0.0000 1.8854
5.2500 1.2801 0.6439
3.8305 0.0000 2.9835
7.4765 1.2801 4.1065
5.2500 -1.2801 0.6439
8.8960 0.0000 1.7668
7.4765 -1.2801 4.1065
11.6936 0.0000 2.8650
3.0704 0.0000 0.6256
9.6562 0.0000 4.1248
6.3633 1.1251 2.3752
6.4354 0.0000 0.0000
6.3633 -1.1251 2.3752
```

No. 4
Simulated powder X-ray diffraction pattern
Compound: Tb6In2Si
Radiation: Cu Kα, 1.54184 Å
Structure: a DFT-relaxed cell (PBE, Alexandria)
No peak broadening, texture or thermal motion is included.

Most intense lines, 10° ≤ 2θ ≤ 90°, by angle:
30.5 deg, intensity 100.0; 32.0 deg, intensity 55.4; 32.9 deg, intensity 44.5; 36.4 deg, intensity 32.6; 39.2 deg, intensity 17.9; 45.1 deg, intensity 16.1; 56.4 deg, intensity 22.3; 59.1 deg, intensity 24.0

Atomic structure:
```
Tb6In2Si
1.0
8.5414 0.0000 0.0000
-4.2707 7.3971 0.0000
0.0000 0.0000 4.0214
Tb In Si
6 2 1
Cartesian
-1.6746 2.9005 0.0000
-3.1922 5.5290 2.0107
1.0785 1.8681 2.0107
3.3492 0.0000 0.0000
2.5961 4.4966 0.0000
6.3844 0.0000 2.0107
0.0000 4.9314 2.0107
4.2707 2.4657 2.0107
0.0000 0.0000 0.0000
```

No. 5
Simulated powder X-ray diffraction pattern
Compound: Pr3SmCu4
Radiation: Cu Kα, 1.54184 Å
Structure: a DFT-relaxed cell (PBE, Alexandria)
No peak broadening, texture or thermal motion is included.

Most intense lines, 10° ≤ 2θ ≤ 90°, by angle:
24.7 deg, intensity 15.2; 35.2 deg, intensity 50.6; 35.3 deg, intensity 100.0; 50.6 deg, intensity 17.7; 63.2 deg, intensity 35.5; 63.4 deg, intensity 17.4; 74.6 deg, intensity 10.6; 85.0 deg, intensity 15.3

Atomic structure:
```
Pr3SmCu4
1.0
5.1057 0.0000 0.0000
0.0000 5.1057 0.0000
0.0000 0.0000 7.1724
Pr Sm Cu
3 1 4
Cartesian
0.0000 0.0000 0.0000
0.0000 0.0000 3.5862
2.5529 2.5529 0.0000
2.5529 2.5529 3.5862
0.0000 2.5529 1.8384
0.0000 2.5529 5.3340
2.5529 0.0000 1.8384
2.5529 0.0000 5.3340
```

No. 6
Simulated powder X-ray diffraction pattern
Compound: Cd3In4Ag4
Radiation: Cu Kα, 1.54184 Å
Structure: a DFT-relaxed cell (PBE, Alexandria)
No peak broadening, texture or thermal motion is included.

Most intense lines, 10° ≤ 2θ ≤ 90°, by angle:
33.2 deg, intensity 98.1; 36.0 deg, intensity 100.0; 36.2 deg, intensity 93.8; 36.2 deg, intensity 37.3; 36.4 deg, intensity 29.1; 37.1 deg, intensity 44.1; 37.5 deg, intensity 49.8; 39.8 deg, intensity 37.9

Atomic structure:
```
Cd3In4Ag4
1.0
3.0091 0.0000 0.0000
0.0019 9.0633 0.0000
1.4020 4.5299 8.9799
Cd In Ag
3 4 4
Cartesian
0.0000 0.0000 0.0000
1.4094 9.0641 7.3258
3.0037 4.5291 1.6542
1.4102 1.7873 2.8368
1.4172 7.2714 2.8432
2.9958 6.3218 6.1367
3.0029 11.8059 6.1432
1.4867 4.5272 4.2303
2.9069 7.0371 8.9765
1.5061 6.5561 0.0035
2.9263 9.0660 4.7496
```

No. 7
Simulated powder X-ray diffraction pattern
Compound: ReNi5Rh2
Radiation: Cu Kα, 1.54184 Å
Structure: a DFT-relaxed cell (PBE, Alexandria)
No peak broadening, texture or thermal motion is included.

Most intense lines, 10° ≤ 2θ ≤ 90°, by angle:
13.5 deg, intensity 28.3; 20.7 deg, intensity 33.1; 42.0 deg, intensity 48.9; 42.2 deg, intensity 78.3; 43.7 deg, intensity 100.0; 44.4 deg, intensity 88.2; 46.6 deg, intensity 38.1; 48.8 deg, intensity 23.1

Atomic structure:
```
ReNi5Rh2
1.0
2.6765 0.0000 0.0000
0.0000 11.3199 0.0000
0.0000 0.0000 6.5726
Re Ni Rh
2 10 4
Cartesian
0.6691 2.8300 0.2283
2.0074 8.4899 6.3443
0.6691 0.8747 2.8202
0.6691 4.7852 2.8202
0.6691 6.3538 5.7711
0.6691 8.4899 4.1522
0.6691 10.6261 5.7711
2.0074 0.6938 0.8016
2.0074 2.8300 2.4204
2.0074 4.9662 0.8016
2.0074 6.5347 3.7524
2.0074 10.4452 3.7524
0.6691 7.1331 1.6515
0.6691 9.8468 1.6515
2.0074 1.4732 4.9211
2.0074 4.1868 4.9211
```

No. 8
Simulated powder X-ray diffraction pattern
Compound: HoCu3Si2
Radiation: Cu Kα, 1.54184 Å
Structure: a DFT-relaxed cell (PBE, Alexandria)
No peak broadening, texture or thermal motion is included.

Most intense lines, 10° ≤ 2θ ≤ 90°, by angle:
24.5 deg, intensity 16.7; 26.0 deg, intensity 27.1; 29.8 deg, intensity 18.4; 34.4 deg, intensity 31.1; 37.2 deg, intensity 100.0; 38.1 deg, intensity 24.0; 40.8 deg, intensity 56.5; 46.4 deg, intensity 32.0

Atomic structure:
```
HoCu3Si2
1.0
7.2921 -1.9568 0.0000
7.2921 1.9568 0.0000
-3.0608 0.0000 6.4464
Ho Cu Si
2 6 4
Cartesian
1.9774 0.0000 0.4467
9.5460 0.0000 5.9998
-0.5861 0.0000 2.3914
2.9108 0.0000 3.5507
4.8883 0.0000 2.0160
6.6351 0.0000 4.4304
8.6127 0.0000 2.8957
12.1096 0.0000 4.0550
0.6992 0.0000 4.4382
4.4797 0.0000 5.3252
7.0437 0.0000 1.1212
10.8243 0.0000 2.0082
```

No. 9
Simulated powder X-ray diffraction pattern
Compound: Pr8Sn2Ir3
Radiation: Cu Kα, 1.54184 Å
Structure: a DFT-relaxed cell (PBE, Alexandria)
No peak broadening, texture or thermal motion is included.

Most intense lines, 10° ≤ 2θ ≤ 90°, by angle:
11.4 deg, intensity 24.1; 34.0 deg, intensity 100.0; 35.1 deg, intensity 24.7; 35.4 deg, intensity 24.2; 43.2 deg, intensity 11.1; 50.7 deg, intensity 17.4; 62.4 deg, intensity 17.3; 62.7 deg, intensity 17.3

Atomic structure:
```
Pr8Sn2Ir3
1.0
9.2582 0.0000 0.0000
0.0000 5.0729 0.0000
-3.6370 0.0000 8.5262
Pr Sn Ir
8 2 3
Cartesian
-0.4083 0.0000 3.3307
-1.8234 2.5365 7.4104
1.0655 2.5365 5.4958
3.1625 0.0000 0.9705
2.4587 0.0000 7.5558
4.5558 2.5365 3.0305
7.4447 2.5365 1.1158
6.0296 0.0000 5.1955
1.3140 2.5365 2.1936
4.3072 2.5365 6.3326
-0.4267 0.0000 6.3776
4.6291 2.5365 0.0000
6.0480 0.0000 2.1486
```

Please write out number 1 again, unchanged.
Simulated powder X-ray diffraction pattern
Compound: Mn5FeP3
Radiation: Cu Kα, 1.54184 Å
Structure: a DFT-relaxed cell (PBE, Alexandria)
No peak broadening, texture or thermal motion is included.

Most intense lines, 10° ≤ 2θ ≤ 90°, by angle:
16.9 deg, intensity 93.1; 18.1 deg, intensity 32.9; 36.9 deg, intensity 85.4; 42.4 deg, intensity 46.0; 44.4 deg, intensity 38.4; 44.6 deg, intensity 100.0; 47.4 deg, intensity 73.9; 47.7 deg, intensity 68.8

Atomic structure:
```
Mn5FeP3
1.0
1.9082 -6.2298 0.0000
1.9082 6.2298 0.0000
0.0000 0.0000 9.8020
Mn Fe P
10 2 6
Cartesian
0.0000 0.0000 0.0000
0.0000 0.0000 4.9010
1.9082 3.8392 5.4860
1.9082 3.8392 9.2170
1.9082 0.5585 1.2821
1.9082 0.5585 3.6189
1.9082 -0.5585 6.1831
1.9082 -0.5585 8.5199
1.9082 -3.8392 0.5850
1.9082 -3.8392 4.3160
1.9082 2.8482 2.4505
1.9082 -2.8482 7.3515
1.9082 5.2035 7.3515
1.9082 1.6289 5.6040
1.9082 1.6289 9.0989
1.9082 -1.6289 0.7030
1.9082 -1.6289 4.1979
1.9082 -5.2035 2.4505
```